(1)
Starting from a DFT-relaxed cell (GGA-PBE, OQMD), the powder diffraction line list of Nd2Sm2B2I2Cl3 was calculated for λ = 1.5418 Å (Cu Kα).
Peak positions follow from Bragg's law for the DFT cell and can differ from measured ones.

Atomic structure:
```
data_Nd2Sm2B2I2Cl3
_symmetry_space_group_name_H-M 'P 1'
_symmetry_Int_Tables_number 1
_cell_length_a 10.496
_cell_length_b 10.496
_cell_length_c 8.092
_cell_angle_alpha 100.79
_cell_angle_beta 100.79
_cell_angle_gamma 21.94
loop_
_symmetry_equiv_pos_as_xyz
'x,y,z'
loop_
_atom_site_label
_atom_site_fract_x
_atom_site_fract_y
_atom_site_fract_z
Nd1 0.002 0.002 0.214
Nd2 0.998 0.998 0.786
Sm1 0.344 0.344 0.900
Sm2 0.656 0.656 0.100
B1 0.461 0.461 0.979
B2 0.539 0.539 0.021
I1 0.170 0.170 0.806
I2 0.830 0.830 0.194
Cl1 0.154 0.154 0.335
Cl2 0.500 0.500 0.500
Cl3 0.846 0.846 0.665
```

Peak list (6 most intense, 2θ from 15° to 90°, in order of rising 2θ)
3.567 Å, rel. 20
3.372 Å, rel. 71
2.842 Å, rel. 100
2.178 Å, rel. 42
2.169 Å, rel. 31
1.718 Å, rel. 21

---

(2)
Starting from a DFT-relaxed cell (GGA-PBE, OQMD), the powder diffraction line list of KZn2BCl2O3 was calculated for λ = 1.5418 Å (Cu Kα).
Peak positions follow from Bragg's law for the DFT cell and can differ from measured ones.

Atomic structure:
```
data_KZn2BCl2O3
_symmetry_space_group_name_H-M 'P 1'
_symmetry_Int_Tables_number 1
_cell_length_a 9.118
_cell_length_b 9.118
_cell_length_c 9.118
_cell_angle_alpha 31.69
_cell_angle_beta 31.69
_cell_angle_gamma 31.69
loop_
_symmetry_equiv_pos_as_xyz
'x,y,z'
loop_
_atom_site_label
_atom_site_fract_x
_atom_site_fract_y
_atom_site_fract_z
K1 0.000 0.000 0.000
Zn1 0.195 0.195 0.195
Zn2 0.805 0.805 0.805
B1 0.500 0.500 0.500
Cl1 0.282 0.282 0.282
Cl2 0.718 0.718 0.718
O1 0.223 0.777 0.500
O2 0.500 0.223 0.777
O3 0.777 0.500 0.223
```

Peak list (6 most intense, 2θ from 15° to 90°, in order of rising 2θ)
4.326 Å, rel. 52
4.092 Å, rel. 84
3.591 Å, rel. 92
3.317 Å, rel. 36
2.490 Å, rel. 100
2.224 Å, rel. 61

---

> Which formula does entry 2 have?

KZn2BCl2O3